The following is a theoretical X-ray diffraction stick pattern of RbCoPtF6. It was derived from a PBE+U-relaxed structure, using Cu Kα.

Structural model:
Cell: 5.5549 5.5706 5.9919 Å, 90.32 90.47 117.98°
Space group P1 (No. 1)
Symmetry-distinct sites (fractional):
Rb 0.0000 0.0000 0.0000 x1
Co 0.3316 0.6692 0.5003 x1
Pt 0.6692 0.3307 0.5001 x1
F 0.0357 0.6383 0.2962 x1
F 0.3633 0.9638 0.7046 x1
F 0.3637 0.3487 0.3310 x1
F 0.6425 0.0067 0.3283 x1
F 0.6526 0.6359 0.6689 x1
F 0.9946 0.3572 0.6718 x1

Peak list (8 most intense, 10 to 90 degrees two-theta, in order of rising 2θ)
hkl, Position (°2θ), d (Å), I_rel
0 0 1, 14.79, 5.991, 100
1 0 0, 18.06, 4.912, 37
1 0 -1, 23.28, 3.820, 90
1 0 1, 23.55, 3.777, 83
-1 1 1, 23.85, 3.731, 82
1 1 0, 31.21, 2.865, 29
2 -1 0, 32.20, 2.780, 50
1 1 -2, 43.41, 2.085, 28